1.
Calculated powder diffractogram
Compound: La5Pm3Dy2
Radiation: Cu Kα X-rays
Structure: a PBE-relaxed structure

Peak list (12 most intense, 2θ from 10° to 80°, in order of rising 2θ)
two_theta, intensity
28.83, 95.6
30.67, 100.0
31.61, 21.2
32.52, 47.7
33.31, 19.1
35.14, 26.1
45.98, 15.1
48.23, 22.6
56.87, 17.3
59.38, 24.2
61.40, 30.0
68.45, 16.6

Structure:
abc: 9.295 9.295 10.243
angles: 108.51 108.51 107.34
Sites, in units of the cell vectors:
La 0.023 0.977 0.750
La 0.134 0.379 0.761
La 0.231 0.769 0.750
La 0.277 0.723 0.250
La 0.379 0.134 0.261
La 0.621 0.866 0.739
La 0.723 0.277 0.750
La 0.769 0.231 0.250
La 0.866 0.621 0.239
La 0.977 0.023 0.250
Pm 0.027 0.277 0.058
Pm 0.277 0.027 0.558
Pm 0.481 0.519 0.250
Pm 0.519 0.481 0.750
Pm 0.723 0.973 0.442
Pm 0.973 0.723 0.942
Dy 0.220 0.466 0.440
Dy 0.466 0.220 0.940
Dy 0.534 0.780 0.060
Dy 0.780 0.534 0.560


2.
Calculated powder diffractogram
Compound: La5Pm5Dy2
Radiation: Cu Kα X-rays
Structure: a PBE-relaxed structure

Peak list (12 most intense, 2θ from 10° to 80°, in order of rising 2θ)
two_theta, intensity
29.79, 100.0
34.42, 34.1
34.76, 16.6
49.47, 12.2
49.73, 24.0
58.77, 14.6
58.87, 14.5
59.28, 14.1
61.88, 12.4
72.47, 1.9
72.65, 1.9
73.37, 1.9

Structure:
abc: 8.247 8.247 11.559
angles: 115.27 115.27 36.80
Sites, in units of the cell vectors:
La 0.000 0.000 0.000
La 0.082 0.082 0.747
La 0.249 0.249 0.253
La 0.751 0.751 0.747
La 0.918 0.918 0.253
Pm 0.333 0.333 0.000
Pm 0.415 0.415 0.746
Pm 0.500 0.500 0.500
Pm 0.585 0.585 0.254
Pm 0.667 0.667 0.000
Dy 0.168 0.168 0.500
Dy 0.832 0.832 0.500


3.
Calculated powder diffractogram
Compound: La7PmDy3
Radiation: Cu Kα X-rays
Structure: a PBE-relaxed structure

Peak list (12 most intense, 2θ from 10° to 80°, in order of rising 2θ)
two_theta, intensity
27.61, 20.4
30.03, 88.7
30.34, 78.9
30.72, 100.0
33.04, 58.8
36.41, 69.8
49.77, 23.6
50.17, 23.5
51.75, 18.2
57.55, 23.6
62.22, 21.1
62.40, 28.3

Structure:
abc: 7.868 7.868 6.505
angles: 94.74 94.74 82.25
Sites, in units of the cell vectors:
La 0.000 0.000 0.000
La 0.075 0.435 0.265
La 0.264 0.264 0.788
La 0.435 0.075 0.265
La 0.565 0.925 0.735
La 0.736 0.736 0.212
La 0.925 0.565 0.735
Pm 0.000 0.000 0.500
Dy 0.333 0.667 0.000
Dy 0.500 0.500 0.500
Dy 0.667 0.333 0.000